The following is a calculated powder diffraction line list of AcPaTe2O8. It was derived from a PBE-relaxed structure, using CuKα.

Top 10 peaks for 10 to 80 degrees two-theta, low angle first:
- 16.99 deg, 5.219 Å, intensity 18
- 23.51 deg, 3.784 Å, intensity 100
- 29.89 deg, 2.989 Å, intensity 91
- 33.49 deg, 2.676 Å, intensity 29
- 45.50 deg, 1.994 Å, intensity 71
- 48.09 deg, 1.892 Å, intensity 17
- 54.20 deg, 1.692 Å, intensity 18
- 56.58 deg, 1.627 Å, intensity 18
- 57.66 deg, 1.599 Å, intensity 20
- 68.35 deg, 1.372 Å, intensity 17

Structure:
a b c (Å): 6.452 6.452 6.452
angles (deg): 108.17 108.17 112.10
Positions (direct):
Ac 0.000 0.000 0.000
Pa 0.250 0.750 0.500
Te 0.500 0.500 0.000
Te 0.750 0.250 0.500
O 0.312 0.109 0.797
O 0.312 0.514 0.203
O 0.359 0.033 0.326
O 0.486 0.688 0.797
O 0.707 0.033 0.674
O 0.891 0.688 0.203
O 0.967 0.293 0.326
O 0.967 0.641 0.674

***

The following is a calculated powder diffraction line list of AcAl2Os2C. It was derived from a PBE-relaxed structure, using CuKα.

Top 10 peaks for 10 to 80 degrees two-theta, low angle first:
- 15.11 deg, 5.864 Å, intensity 13
- 21.19 deg, 4.193 Å, intensity 14
- 26.13 deg, 3.411 Å, intensity 23
- 30.49 deg, 2.932 Å, intensity 29
- 33.88 deg, 2.646 Å, intensity 100
- 37.43 deg, 2.403 Å, intensity 18
- 43.15 deg, 2.096 Å, intensity 32
- 53.75 deg, 1.705 Å, intensity 24
- 56.38 deg, 1.632 Å, intensity 23
- 73.19 deg, 1.293 Å, intensity 23

Structure:
a b c (Å): 4.193 4.193 5.864
angles (deg): 90.00 90.00 90.00
Positions (direct):
Ac 0.000 0.000 0.000
Al 0.500 0.500 0.237
Al 0.500 0.500 0.763
Os 0.000 0.500 0.500
Os 0.500 0.000 0.500
C 0.000 0.000 0.500

***

The following is a calculated powder diffraction line list of SrBeO2. It was derived from a PBE-relaxed structure, using CuKα.

Top 10 peaks for 10 to 80 degrees two-theta, low angle first:
- 19.91 deg, 4.459 Å, intensity 48
- 25.49 deg, 3.494 Å, intensity 97
- 30.25 deg, 2.955 Å, intensity 72
- 34.27 deg, 2.617 Å, intensity 92
- 34.99 deg, 2.565 Å, intensity 92
- 35.13 deg, 2.554 Å, intensity 29
- 39.43 deg, 2.285 Å, intensity 32
- 40.09 deg, 2.249 Å, intensity 100
- 45.08 deg, 2.011 Å, intensity 45
- 53.65 deg, 1.708 Å, intensity 30

Structure:
a b c (Å): 5.320 5.320 4.129
angles (deg): 100.23 100.23 118.42
Positions (direct):
Sr 0.151 0.849 0.750
Sr 0.849 0.151 0.250
Be 0.495 0.505 0.250
Be 0.505 0.495 0.750
O 0.220 0.410 0.902
O 0.410 0.220 0.402
O 0.590 0.780 0.598
O 0.780 0.590 0.098

***

The following is a calculated powder diffraction line list of NiRh4. It was derived from a PBE-relaxed structure, using CuKα.

Top 8 peaks for 10 to 80 degrees two-theta, low angle first:
- 20.93 deg, 4.244 Å, intensity 2
- 27.85 deg, 3.203 Å, intensity 2
- 29.77 deg, 3.001 Å, intensity 1
- 41.22 deg, 2.190 Å, intensity 100
- 47.94 deg, 1.898 Å, intensity 32
- 48.04 deg, 1.894 Å, intensity 16
- 60.78 deg, 1.524 Å, intensity 1
- 70.18 deg, 1.341 Å, intensity 30

Structure:
a b c (Å): 4.647 4.647 4.647
angles (deg): 99.56 99.56 131.90
Positions (direct):
Ni 0.000 0.000 0.000
Rh 0.202 0.398 0.600
Rh 0.398 0.798 0.196
Rh 0.602 0.202 0.804
Rh 0.798 0.602 0.400

***

The following is a calculated powder diffraction line list of Ag7SbSe6. It was derived from a PBE-relaxed structure, using CuKα.

Top 10 peaks for 10 to 80 degrees two-theta, low angle first:
- 14.48 deg, 6.118 Å, intensity 24
- 25.75 deg, 3.460 Å, intensity 25
- 27.40 deg, 3.256 Å, intensity 50
- 35.72 deg, 2.514 Å, intensity 100
- 37.38 deg, 2.406 Å, intensity 85
- 38.17 deg, 2.358 Å, intensity 26
- 41.20 deg, 2.191 Å, intensity 20
- 42.31 deg, 2.136 Å, intensity 29
- 43.36 deg, 2.087 Å, intensity 21
- 46.75 deg, 1.943 Å, intensity 33

Structure:
a b c (Å): 8.074 8.074 8.074
angles (deg): 54.55 54.55 54.55
Positions (direct):
Ag 0.000 0.000 0.000
Ag 0.127 0.641 0.888
Ag 0.226 0.703 0.456
Ag 0.456 0.226 0.703
Ag 0.641 0.888 0.127
Ag 0.703 0.456 0.226
Ag 0.888 0.127 0.641
Sb 0.671 0.671 0.671
Se 0.018 0.416 0.813
Se 0.320 0.931 0.533
Se 0.416 0.813 0.018
Se 0.533 0.320 0.931
Se 0.813 0.018 0.416
Se 0.931 0.533 0.320

***

The following is a calculated powder diffraction line list of BaPr2Gd. It was derived from a PBE-relaxed structure, using CuKα.

Top 10 peaks for 10 to 80 degrees two-theta, low angle first:
- 28.74 deg, 3.107 Å, intensity 100
- 33.08 deg, 2.708 Å, intensity 17
- 33.41 deg, 2.682 Å, intensity 34
- 47.73 deg, 1.905 Å, intensity 25
- 47.97 deg, 1.896 Å, intensity 12
- 56.45 deg, 1.630 Å, intensity 15
- 56.89 deg, 1.619 Å, intensity 29
- 59.51 deg, 1.553 Å, intensity 13
- 77.17 deg, 1.236 Å, intensity 12
- 77.54 deg, 1.231 Å, intensity 6

Structure:
a b c (Å): 5.364 5.364 5.416
angles (deg): 90.00 90.00 90.00
Positions (direct):
Ba 0.000 0.000 0.000
Pr 0.000 0.500 0.500
Pr 0.500 0.000 0.500
Gd 0.500 0.500 0.000

***

The following is a calculated powder diffraction line list of SrPa2Pb9. It was derived from a PBE-relaxed structure, using CuKα.

Top 10 peaks for 10 to 80 degrees two-theta, low angle first:
- 31.74 deg, 2.819 Å, intensity 100
- 35.69 deg, 2.515 Å, intensity 2
- 36.59 deg, 2.456 Å, intensity 16
- 36.92 deg, 2.435 Å, intensity 34
- 52.96 deg, 1.729 Å, intensity 23
- 53.20 deg, 1.722 Å, intensity 12
- 62.86 deg, 1.478 Å, intensity 13
- 63.29 deg, 1.469 Å, intensity 29
- 66.30 deg, 1.410 Å, intensity 12
- 78.58 deg, 1.217 Å, intensity 4

Structure:
a b c (Å): 4.870 4.870 14.733
angles (deg): 90.00 90.00 90.00
Positions (direct):
Sr 0.000 0.000 0.000
Pa 0.000 0.000 0.343
Pa 0.000 0.000 0.657
Pb 0.000 0.500 0.176
Pb 0.000 0.500 0.500
Pb 0.000 0.500 0.824
Pb 0.500 0.000 0.176
Pb 0.500 0.000 0.500
Pb 0.500 0.000 0.824
Pb 0.500 0.500 0.000
Pb 0.500 0.500 0.337
Pb 0.500 0.500 0.663

***

The following is a calculated powder diffraction line list of SmPuS4. It was derived from a PBE-relaxed structure, using CuKα.

Top 10 peaks for 10 to 80 degrees two-theta, low angle first:
- 19.74 deg, 4.497 Å, intensity 69
- 20.01 deg, 4.437 Å, intensity 62
- 25.72 deg, 3.464 Å, intensity 100
- 28.25 deg, 3.158 Å, intensity 27
- 38.43 deg, 2.343 Å, intensity 57
- 38.72 deg, 2.325 Å, intensity 50
- 40.67 deg, 2.218 Å, intensity 15
- 48.50 deg, 1.877 Å, intensity 51
- 64.69 deg, 1.441 Å, intensity 17
- 65.05 deg, 1.434 Å, intensity 19

Structure:
a b c (Å): 6.318 6.318 4.142
angles (deg): 90.00 90.00 90.78
Positions (direct):
Sm 0.000 0.000 0.000
Pu 0.500 0.500 0.500
S 0.207 0.207 0.500
S 0.316 0.684 0.000
S 0.684 0.316 0.000
S 0.793 0.793 0.500

***

The following is a calculated powder diffraction line list of Ac4Nd3Dy4. It was derived from a PBE-relaxed structure, using CuKα.

Top 10 peaks for 10 to 80 degrees two-theta, low angle first:
- 29.43 deg, 3.035 Å, intensity 98
- 30.09 deg, 2.969 Å, intensity 100
- 30.61 deg, 2.921 Å, intensity 54
- 30.72 deg, 2.911 Å, intensity 51
- 43.91 deg, 2.062 Å, intensity 41
- 53.82 deg, 1.703 Å, intensity 19
- 54.23 deg, 1.691 Å, intensity 21
- 54.49 deg, 1.684 Å, intensity 22
- 58.74 deg, 1.572 Å, intensity 31
- 72.55 deg, 1.303 Å, intensity 19

Structure:
a b c (Å): 3.705 5.822 19.209
angles (deg): 98.70 90.03 90.00
Positions (direct):
Ac 0.000 0.000 0.000
Ac 0.000 0.372 0.741
Ac 0.498 0.183 0.365
Ac 0.499 0.815 0.628
Nd 0.501 0.459 0.917
Nd 0.997 0.094 0.187
Nd 0.998 0.728 0.453
Dy 0.497 0.555 0.109
Dy 0.500 0.913 0.825
Dy 0.997 0.636 0.271
Dy 0.998 0.273 0.544

***

The following is a calculated powder diffraction line list of LaUCo3. It was derived from a PBE-relaxed structure, using CuKα.

Top 10 peaks for 10 to 80 degrees two-theta, low angle first:
- 18.39 deg, 4.825 Å, intensity 47
- 29.51 deg, 3.027 Å, intensity 57
- 29.72 deg, 3.006 Å, intensity 100
- 30.49 deg, 2.932 Å, intensity 98
- 31.97 deg, 2.799 Å, intensity 74
- 36.88 deg, 2.437 Å, intensity 69
- 37.27 deg, 2.412 Å, intensity 74
- 45.12 deg, 2.010 Å, intensity 68
- 52.49 deg, 1.743 Å, intensity 35
- 59.88 deg, 1.545 Å, intensity 48

Structure:
a b c (Å): 6.170 6.170 7.537
angles (deg): 125.69 125.69 58.75
Positions (direct):
La 0.000 0.000 0.000
La 0.032 0.032 0.534
U 0.629 0.629 0.401
U 0.629 0.629 0.916
Co 0.077 0.496 0.502
Co 0.083 0.499 0.049
Co 0.398 0.398 0.871
Co 0.426 0.426 0.412
Co 0.496 0.077 0.502
Co 0.499 0.083 0.049